Entry 1:
La2Tb7Er2: calculated powder X-ray diffraction pattern (λ = 1.5418 Å (Cu Kα)), based on the PBE geometry in Alexandria.
Neutral-atom scattering factors, no anomalous dispersion.

Most intense lines, 2θ = 15–90°, in order of rising 2θ:
2θ/deg  d (Å)  intensity  index
24.37  3.653  19  1 1 2
28.76  3.104  86  0 2 1
29.30  3.048  86  4 0 0
32.07  2.791  100  2 0 -3
36.44  2.466  81  2 2 2
38.74  2.324  22  3 1 -3
41.52  2.175  58  4 2 -1
55.93  1.644  22  0 4 0
56.28  1.635  26  0 2 5
65.94  1.417  22  2 4 -3

Structural model:
a b c (Å): 12.193 6.576 9.419
angles (deg): 90.00 90.16 90.00
Space group C2/m (No. 12)
One atom of each set of equivalent atoms:
La: 0.000 0.249 0.000 [4 per cell]
Tb: 0.000 0.000 0.319 [4 per cell]
Tb: 0.000 0.500 0.500 [2 per cell]
Tb: 0.249 0.250 0.814 [8 per cell]
Er: 0.227 0.000 0.500 [4 per cell]



Entry 2:
La2Tb5Er: calculated powder X-ray diffraction pattern (λ = 1.5418 Å (Cu Kα)), based on the PBE geometry in Alexandria.
Neutral-atom scattering factors, no anomalous dispersion.

Most intense lines, 2θ = 15–90°, in order of rising 2θ:
2θ/deg  d (Å)  intensity  index
30.39  2.941  100  1 1 4
35.15  2.553  34  2 0 0
35.40  2.536  16  0 0 8
50.56  1.805  12  2 2 0
50.75  1.799  24  2 0 8
60.15  1.538  29  3 1 4
60.47  1.531  14  1 1 12
63.23  1.471  12  2 2 8
82.36  1.171  6  3 3 4
82.64  1.168  11  3 1 12

Structural model:
a b c (Å): 5.106 5.106 20.287
angles (deg): 90.00 90.00 90.00
Space group I4/mmm (No. 139)
One atom of each set of equivalent atoms:
La: 0.000 0.000 0.250 [4 per cell]
Tb: 0.000 0.000 0.000 [2 per cell]
Tb: 0.000 0.500 0.122 [8 per cell]
Er: 0.000 0.000 0.500 [2 per cell]



Entry 3:
La8TbEr5: calculated powder X-ray diffraction pattern (λ = 1.5418 Å (Cu Kα)), based on the PBE geometry in Alexandria.
Neutral-atom scattering factors, no anomalous dispersion.

Most intense lines, 2θ = 15–90°, in order of rising 2θ:
2θ/deg  d (Å)  intensity  index
27.29  3.268  61  1 0 3
28.70  3.110  71  3 0 1
28.87  3.092  76  1 3 0
31.06  2.879  27  2 2 2
32.97  2.717  100  2 1 3
33.72  2.658  44  1 3 2
34.17  2.624  51  2 3 1
53.82  1.703  23  5 0 3
59.81  1.546  18  2 6 0
61.32  1.512  33  1 3 6

Structural model:
a b c (Å): 9.779 9.779 10.402
angles (deg): 90.00 90.00 90.00
Space group I-4 (No. 82)
One atom of each set of equivalent atoms:
La: 0.068 0.169 0.157 [8 per cell]
La: 0.091 0.318 0.498 [8 per cell]
Tb: 0.000 0.000 0.500 [2 per cell]
Er: 0.000 0.500 0.250 [2 per cell]
Er: 0.106 0.300 0.823 [8 per cell]



Entry 4:
LaTb3Er8: calculated powder X-ray diffraction pattern (λ = 1.5418 Å (Cu Kα)), based on the PBE geometry in Alexandria.
Neutral-atom scattering factors, no anomalous dispersion.

Most intense lines, 2θ = 15–90°, in order of rising 2θ:
2θ/deg  d (Å)  intensity  index
27.47  3.247  21  1 3 0
31.56  2.835  74  0 0 4
31.76  2.818  100  1 3 2
32.33  2.769  77  2 0 2
35.41  2.535  22  0 4 2
36.10  2.488  44  2 2 2
45.81  1.981  22  2 2 4
52.11  1.755  25  3 3 2
56.70  1.624  32  2 6 0
66.35  1.409  28  2 6 4

Structural model:
a b c (Å): 6.346 11.335 11.342
angles (deg): 90.00 90.00 90.00
Space group Immm (No. 71)
One atom of each set of equivalent atoms:
La: 0.000 0.000 0.000 [2 per cell]
Tb: 0.000 0.000 0.500 [2 per cell]
Tb: 0.000 0.500 0.243 [4 per cell]
Er: 0.000 0.172 0.251 [8 per cell]
Er: 0.247 0.257 0.000 [8 per cell]



Entry 5:
La4Tb8Er: calculated powder X-ray diffraction pattern (λ = 1.5418 Å (Cu Kα)), based on the PBE geometry in Alexandria.
Neutral-atom scattering factors, no anomalous dispersion.

Most intense lines, 2θ = 15–90°, in order of rising 2θ:
2θ/deg  d (Å)  intensity  index
19.63  4.522  13  0 2 1
22.74  3.911  18  2 0 2
25.47  3.498  12  1 1 3
32.31  2.771  100  2 2 0
32.44  2.760  99  0 2 4
46.44  1.955  36  4 0 4
57.68  1.598  55  6 0 0
57.94  1.592  18  2 0 8
77.02  1.238  15  6 2 4
77.23  1.235  15  4 2 8

Structural model:
a b c (Å): 11.0827 11.0827 13.4961
angles (deg): 90.00 90.00 120.00
Space group R-3m (No. 166, hexagonal axes)
One atom of each set of equivalent atoms:
La: 0.0000 0.0000 0.0000 [3 per cell]
La: 0.0000 0.5000 0.0000 [9 per cell]
Tb: 0.0000 0.0000 0.2390 [6 per cell]
Tb: 0.0136 0.5068 0.7454 [18 per cell]
Er: 0.0000 0.0000 0.5000 [3 per cell]



Entry 6:
La2Tb4Er3: calculated powder X-ray diffraction pattern (λ = 1.5418 Å (Cu Kα)), based on the PBE geometry in Alexandria.
Neutral-atom scattering factors, no anomalous dispersion.

Most intense lines, 2θ = 15–90°, in order of rising 2θ:
2θ/deg  d (Å)  intensity  index
28.60  3.121  41  1 0 0
30.34  2.946  47  0 0 9
31.68  2.824  49  0 1 4
33.31  2.690  100  1 0 5
42.18  2.143  23  1 0 9
50.65  1.802  35  1 1 0
56.86  1.619  30  0 1 14
60.19  1.537  36  1 1 9
61.98  1.497  17  0 2 5
84.05  1.152  14  2 1 5

Structural model:
a b c (Å): 3.6041 3.6041 26.5185
angles (deg): 90.00 90.00 120.00
Space group P3m1 (No. 156)
One atom of each set of equivalent atoms:
La: 0.0000 0.0000 0.0000 [1 per cell]
La: 0.0000 0.0000 0.2218 [1 per cell]
Tb: 0.0000 0.0000 0.3560 [1 per cell]
Tb: 0.0000 0.0000 0.5664 [1 per cell]
Tb: 0.3333 0.6667 0.6740 [1 per cell]
Tb: 0.3333 0.6667 0.8856 [1 per cell]
Er: 0.0000 0.0000 0.7804 [1 per cell]
Er: 0.3333 0.6667 0.1130 [1 per cell]
Er: 0.3333 0.6667 0.4598 [1 per cell]